Diffraction record for Ac2LaCd2Pb2. The powder diffraction line list is calculated, not measured: it uses a crystal structure in Alexandria, relaxed with PBE and Cu Kα (weighted mean of Kα1 and Kα2).
Peak positions follow from Bragg's law for the DFT cell and can differ from measured ones.

Crystal structure
a b c (Å): 10.125 10.125 10.125
angles (deg): 30.19 30.19 30.19
Sites, in units of the cell vectors:
Ac  0.128  0.128  0.128
Ac  0.872  0.872  0.872
La  0.000  0.000  0.000
Cd  0.410  0.410  0.410
Cd  0.590  0.590  0.590
Pb  0.273  0.273  0.273
Pb  0.727  0.727  0.727

Main lines, by angle (10 to 80 degrees two-theta):
2theta	d/Å	intensity
29.12	3.066	100
31.53	2.837	40
34.01	2.636	100
45.34	2.000	41
57.89	1.593	29
59.32	1.558	42

Diffraction record for AcLa4PrCd2. The powder diffraction line list is calculated, not measured: it uses a crystal structure in Alexandria, relaxed with PBE and Cu Kα (weighted mean of Kα1 and Kα2).
Peak positions follow from Bragg's law for the DFT cell and can differ from measured ones.

Crystal structure
a b c (Å): 6.501 6.501 8.594
angles (deg): 98.46 98.46 51.52
Sites, in units of the cell vectors:
Ac  0.000  0.000  0.000
La  0.151  0.151  0.486
La  0.317  0.317  0.157
La  0.683  0.683  0.843
La  0.849  0.849  0.514
Pr  0.500  0.500  0.500
Cd  0.359  0.359  0.796
Cd  0.641  0.641  0.204

Main lines, by angle (10 to 80 degrees two-theta):
2theta	d/Å	intensity
26.41	3.375	39
28.60	3.121	57
31.33	2.855	100
31.66	2.826	85
32.84	2.727	36
35.22	2.548	32

Diffraction record for Ac3La2Tl4Cd2. The powder diffraction line list is calculated, not measured: it uses a crystal structure in Alexandria, relaxed with PBE and Cu Kα (weighted mean of Kα1 and Kα2).
Peak positions follow from Bragg's law for the DFT cell and can differ from measured ones.

Crystal structure
a b c (Å): 5.165 5.165 16.372
angles (deg): 90.00 90.00 120.00
Sites, in units of the cell vectors:
Ac  0.000  0.000  0.000
Ac  0.000  0.000  0.252
Ac  0.000  0.000  0.748
La  0.333  0.667  0.560
La  0.667  0.333  0.440
Tl  0.333  0.667  0.355
Tl  0.333  0.667  0.889
Tl  0.667  0.333  0.111
Tl  0.667  0.333  0.645
Cd  0.333  0.667  0.131
Cd  0.667  0.333  0.869

Main lines, by angle (10 to 80 degrees two-theta):
2theta	d/Å	intensity
22.65	3.925	26
29.58	3.020	100
33.93	2.642	27
34.74	2.583	95
46.26	1.963	30
59.12	1.563	29

Diffraction record for Li5Ac2Cd12. The powder diffraction line list is calculated, not measured: it uses a crystal structure in Alexandria, relaxed with PBE and Cu Kα (weighted mean of Kα1 and Kα2).
Peak positions follow from Bragg's law for the DFT cell and can differ from measured ones.

Crystal structure
a b c (Å): 7.612 7.612 7.612
angles (deg): 82.89 82.89 82.89
Sites, in units of the cell vectors:
Li  0.000  0.000  0.500
Li  0.000  0.500  0.000
Li  0.098  0.098  0.098
Li  0.500  0.000  0.000
Li  0.902  0.902  0.902
Ac  0.347  0.347  0.347
Ac  0.653  0.653  0.653
Cd  0.000  0.291  0.709
Cd  0.000  0.709  0.291
Cd  0.138  0.656  0.656
Cd  0.291  0.000  0.709
Cd  0.291  0.709  0.000
Cd  0.344  0.344  0.862
Cd  0.344  0.862  0.344
Cd  0.656  0.138  0.656
Cd  0.656  0.656  0.138
Cd  0.709  0.000  0.291
Cd  0.709  0.291  0.000
Cd  0.862  0.344  0.344

Main lines, by angle (10 to 80 degrees two-theta):
2theta	d/Å	intensity
23.70	3.754	27
27.72	3.219	38
30.74	2.909	30
31.80	2.814	54
35.89	2.502	100
36.61	2.454	32

Diffraction record for LiAcCd17. The powder diffraction line list is calculated, not measured: it uses a crystal structure in Alexandria, relaxed with PBE and Cu Kα (weighted mean of Kα1 and Kα2).
Peak positions follow from Bragg's law for the DFT cell and can differ from measured ones.

Crystal structure
a b c (Å): 7.748 7.748 7.748
angles (deg): 82.40 82.40 82.40
Sites, in units of the cell vectors:
Li  0.000  0.000  0.000
Ac  0.691  0.691  0.691
Cd  0.003  0.003  0.487
Cd  0.003  0.487  0.003
Cd  0.058  0.349  0.655
Cd  0.058  0.655  0.349
Cd  0.164  0.728  0.728
Cd  0.239  0.239  0.239
Cd  0.349  0.058  0.655
Cd  0.349  0.655  0.058
Cd  0.372  0.372  0.834
Cd  0.372  0.834  0.372
Cd  0.445  0.445  0.445
Cd  0.487  0.003  0.003
Cd  0.655  0.058  0.349
Cd  0.655  0.349  0.058
Cd  0.728  0.164  0.728
Cd  0.728  0.728  0.164
Cd  0.834  0.372  0.372

Main lines, by angle (10 to 80 degrees two-theta):
2theta	d/Å	intensity
30.34	2.946	33
31.17	2.869	33
35.17	2.552	47
35.30	2.542	100
35.70	2.515	32
39.60	2.276	60

Diffraction record for Li7AcCd5. The powder diffraction line list is calculated, not measured: it uses a crystal structure in Alexandria, relaxed with PBE and Cu Kα (weighted mean of Kα1 and Kα2).
Peak positions follow from Bragg's law for the DFT cell and can differ from measured ones.

Crystal structure
a b c (Å): 7.566 7.566 5.786
angles (deg): 112.18 112.18 82.76
Sites, in units of the cell vectors:
Li  0.000  0.000  0.000
Li  0.003  0.712  0.356
Li  0.127  0.569  0.846
Li  0.569  0.127  0.846
Li  0.577  0.577  0.075
Li  0.702  0.702  0.698
Li  0.712  0.003  0.356
Ac  0.350  0.350  0.348
Cd  0.140  0.140  0.639
Cd  0.358  0.841  0.345
Cd  0.358  0.841  0.850
Cd  0.841  0.358  0.345
Cd  0.841  0.358  0.850

Main lines, by angle (10 to 80 degrees two-theta):
2theta	d/Å	intensity
12.64	7.005	66
18.08	4.906	28
25.45	3.500	90
35.88	2.503	100
36.17	2.483	35
36.63	2.453	24

Diffraction record for Li12AcCd6. The powder diffraction line list is calculated, not measured: it uses a crystal structure in Alexandria, relaxed with PBE and Cu Kα (weighted mean of Kα1 and Kα2).
Peak positions follow from Bragg's law for the DFT cell and can differ from measured ones.

Crystal structure
a b c (Å): 7.641 7.641 7.641
angles (deg): 101.80 101.80 101.80
Sites, in units of the cell vectors:
Li  0.000  0.392  0.608
Li  0.000  0.608  0.392
Li  0.074  0.074  0.349
Li  0.074  0.349  0.074
Li  0.349  0.074  0.074
Li  0.392  0.000  0.608
Li  0.392  0.608  0.000
Li  0.608  0.000  0.392
Li  0.608  0.392  0.000
Li  0.651  0.926  0.926
Li  0.926  0.651  0.926
Li  0.926  0.926  0.651
Ac  0.500  0.500  0.500
Cd  0.222  0.753  0.753
Cd  0.247  0.247  0.778
Cd  0.247  0.778  0.247
Cd  0.753  0.222  0.753
Cd  0.753  0.753  0.222
Cd  0.778  0.247  0.247

Main lines, by angle (10 to 80 degrees two-theta):
2theta	d/Å	intensity
19.47	4.558	70
24.58	3.621	95
28.93	3.086	60
30.14	2.965	100
36.13	2.486	32
39.54	2.279	53

Diffraction record for Li2Ac2Cd3. The powder diffraction line list is calculated, not measured: it uses a crystal structure in Alexandria, relaxed with PBE and Cu Kα (weighted mean of Kα1 and Kα2).
Peak positions follow from Bragg's law for the DFT cell and can differ from measured ones.

Crystal structure
a b c (Å): 10.529 10.529 7.914
angles (deg): 90.00 90.00 152.77
Sites, in units of the cell vectors:
Li  0.193  0.807  0.562
Li  0.193  0.807  0.938
Li  0.807  0.193  0.062
Li  0.807  0.193  0.438
Ac  0.344  0.656  0.750
Ac  0.443  0.557  0.250
Ac  0.557  0.443  0.750
Ac  0.656  0.344  0.250
Cd  0.064  0.936  0.066
Cd  0.064  0.936  0.434
Cd  0.275  0.725  0.250
Cd  0.725  0.275  0.750
Cd  0.936  0.064  0.566
Cd  0.936  0.064  0.934

Main lines, by angle (10 to 80 degrees two-theta):
2theta	d/Å	intensity
22.47	3.957	23
29.20	3.058	76
30.49	2.932	100
36.24	2.479	28
38.39	2.345	22
49.79	1.831	23

Diffraction record for Li17Ac2Cd3. The powder diffraction line list is calculated, not measured: it uses a crystal structure in Alexandria, relaxed with PBE and Cu Kα (weighted mean of Kα1 and Kα2).
Peak positions follow from Bragg's law for the DFT cell and can differ from measured ones.

Crystal structure
a b c (Å): 8.142 8.144 8.145
angles (deg): 85.60 84.14 85.00
Sites, in units of the cell vectors:
Li  0.000  0.000  0.000
Li  0.000  0.241  0.259
Li  0.000  0.500  0.500
Li  0.000  0.759  0.741
Li  0.091  0.593  0.092
Li  0.200  0.168  0.667
Li  0.255  0.500  0.745
Li  0.257  0.243  0.999
Li  0.331  0.300  0.331
Li  0.332  0.831  0.800
Li  0.500  0.500  0.000
Li  0.668  0.169  0.200
Li  0.669  0.700  0.669
Li  0.743  0.757  0.001
Li  0.745  0.500  0.255
Li  0.800  0.832  0.333
Li  0.909  0.407  0.908
Ac  0.325  0.820  0.323
Ac  0.675  0.180  0.677
Cd  0.000  0.000  0.500
Cd  0.500  0.000  0.000
Cd  0.500  0.500  0.500

Main lines, by angle (10 to 80 degrees two-theta):
2theta	d/Å	intensity
10.95	8.083	100
14.74	6.008	27
14.91	5.942	55
16.07	5.517	32
17.38	5.101	84
32.84	2.727	25

Diffraction record for Li5AcCd7. The powder diffraction line list is calculated, not measured: it uses a crystal structure in Alexandria, relaxed with PBE and Cu Kα (weighted mean of Kα1 and Kα2).
Peak positions follow from Bragg's law for the DFT cell and can differ from measured ones.

Crystal structure
a b c (Å): 7.596 7.596 5.388
angles (deg): 108.82 108.82 84.40
Sites, in units of the cell vectors:
Li  0.000  0.000  0.000
Li  0.269  0.768  0.286
Li  0.270  0.767  0.783
Li  0.767  0.270  0.783
Li  0.768  0.269  0.286
Ac  0.767  0.767  0.283
Cd  0.116  0.116  0.607
Cd  0.116  0.412  0.278
Cd  0.412  0.116  0.278
Cd  0.414  0.414  0.956
Cd  0.548  0.548  0.579
Cd  0.559  0.987  0.788
Cd  0.987  0.559  0.788

Main lines, by angle (10 to 80 degrees two-theta):
2theta	d/Å	intensity
17.51	5.065	96
31.10	2.875	100
33.30	2.691	88
35.40	2.536	94
36.32	2.473	61
36.60	2.455	53

Diffraction record for LiAcMgCd2. The powder diffraction line list is calculated, not measured: it uses a crystal structure in Alexandria, relaxed with PBE and Cu Kα (weighted mean of Kα1 and Kα2).
Peak positions follow from Bragg's law for the DFT cell and can differ from measured ones.

Crystal structure
a b c (Å): 7.402 7.402 7.402
angles (deg): 144.59 144.59 50.95
Sites, in units of the cell vectors:
Li  0.000  0.000  0.000
Ac  0.750  0.250  0.500
Mg  0.500  0.500  0.000
Cd  0.137  0.637  0.500
Cd  0.363  0.863  0.500

Main lines, by angle (10 to 80 degrees two-theta):
2theta	d/Å	intensity
13.25	6.682	60
28.03	3.184	77
28.18	3.167	100
31.12	2.874	55
39.20	2.298	67
57.29	1.608	44

Diffraction record for Li2AcNdCd4. The powder diffraction line list is calculated, not measured: it uses a crystal structure in Alexandria, relaxed with PBE and Cu Kα (weighted mean of Kα1 and Kα2).
Peak positions follow from Bragg's law for the DFT cell and can differ from measured ones.

Crystal structure
a b c (Å): 9.528 9.528 9.528
angles (deg): 31.53 31.53 31.53
Sites, in units of the cell vectors:
Li  0.244  0.244  0.244
Li  0.756  0.756  0.756
Ac  0.000  0.000  0.000
Nd  0.500  0.500  0.500
Cd  0.125  0.125  0.125
Cd  0.386  0.386  0.386
Cd  0.614  0.614  0.614
Cd  0.875  0.875  0.875

Main lines, by angle (10 to 80 degrees two-theta):
2theta	d/Å	intensity
20.87	4.257	73
33.11	2.705	100
34.65	2.589	96
38.79	2.322	26
48.68	1.870	34
61.13	1.516	33

Which formula does entry 7 have?
Li12AcCd6